No. 1
The following is a theoretical XRD peak list of Pr2ZnBPd6. It was derived from a DFT-relaxed cell (GGA-PBE, Alexandria), using Cu Kα.
Kinematic intensities with the Lorentz-polarization factor, no thermal factor.

The 10 most intense peaks (2θ = 10–90°), in order of rising 2θ:
- 2θ 28.31, I = 16
- 2θ 28.80, I = 23
- 2θ 31.73, I = 61
- 2θ 35.02, I = 16
- 2θ 35.45, I = 48
- 2θ 37.38, I = 100
- 2θ 39.77, I = 49
- 2θ 41.14, I = 74
- 2θ 42.20, I = 16
- 2θ 58.55, I = 23

Crystal structure
Cell lengths 5.7534, 8.7770, 7.3608 Å; angles 90.00, 90.00, 90.00 degrees
Atoms (fractional coordinates):
Pr 0.2500 0.0327 0.2139
Pr 0.2500 0.4673 0.2139
Pr 0.7500 0.5327 0.7861
Pr 0.7500 0.9673 0.7861
Zn 0.2500 0.7500 0.8228
Zn 0.7500 0.2500 0.1772
B 0.2500 0.2500 0.6839
B 0.7500 0.7500 0.3161
Pd 0.0066 0.2500 0.8961
Pd 0.0129 0.7500 0.5139
Pd 0.2500 0.0087 0.6474
Pd 0.2500 0.4913 0.6474
Pd 0.4871 0.7500 0.5139
Pd 0.4934 0.2500 0.8961
Pd 0.5066 0.7500 0.1039
Pd 0.5129 0.2500 0.4861
Pd 0.7500 0.5087 0.3526
Pd 0.7500 0.9913 0.3526
Pd 0.9871 0.2500 0.4861
Pd 0.9934 0.7500 0.1039

=====

No. 2
The following is a theoretical XRD peak list of B5PdPt8. It was derived from a DFT-relaxed cell (GGA-PBE, Alexandria), using Cu Kα.
Kinematic intensities with the Lorentz-polarization factor, no thermal factor.

The 10 most intense peaks (2θ = 10–90°), in order of rising 2θ:
- 2θ 30.87, I = 34
- 2θ 32.02, I = 24
- 2θ 36.15, I = 100
- 2θ 36.56, I = 47
- 2θ 39.10, I = 85
- 2θ 39.26, I = 40
- 2θ 43.62, I = 42
- 2θ 53.97, I = 24
- 2θ 54.63, I = 46
- 2θ 71.81, I = 20

Crystal structure
Cell lengths 8.8610, 8.8610, 6.5100 Å; angles 106.70, 106.70, 22.11 degrees
Atoms (fractional coordinates):
B 0.0000 0.0000 0.0000
B 0.3034 0.3034 0.7178
B 0.3714 0.3714 0.3086
B 0.6286 0.6286 0.6914
B 0.6966 0.6966 0.2822
Pd 0.5000 0.5000 0.5000
Pt 0.0914 0.0914 0.8301
Pt 0.1691 0.1691 0.4997
Pt 0.2436 0.2436 0.1651
Pt 0.4282 0.4282 0.8336
Pt 0.5718 0.5718 0.1664
Pt 0.7564 0.7564 0.8349
Pt 0.8309 0.8309 0.5003
Pt 0.9086 0.9086 0.1699

=====

No. 3
The following is a theoretical XRD peak list of BPdPt2. It was derived from a DFT-relaxed cell (GGA-PBE, Alexandria), using Cu Kα.
Kinematic intensities with the Lorentz-polarization factor, no thermal factor.

The 10 most intense peaks (2θ = 10–90°), in order of rising 2θ:
- 2θ 34.09, I = 21
- 2θ 36.94, I = 33
- 2θ 37.16, I = 30
- 2θ 38.78, I = 100
- 2θ 38.92, I = 35
- 2θ 39.52, I = 32
- 2θ 40.44, I = 31
- 2θ 42.12, I = 33
- 2θ 43.84, I = 35
- 2θ 70.13, I = 21

Crystal structure
Cell lengths 5.5763, 7.9262, 4.8669 Å; angles 90.00, 90.00, 90.00 degrees
Atoms (fractional coordinates):
B 0.1033 0.2500 0.0879
B 0.3967 0.7500 0.5879
B 0.6033 0.2500 0.4121
B 0.8967 0.7500 0.9121
Pd 0.0362 0.7500 0.3263
Pd 0.4638 0.2500 0.8263
Pd 0.5362 0.7500 0.1737
Pd 0.9638 0.2500 0.6737
Pt 0.1803 0.5712 0.8116
Pt 0.1803 0.9288 0.8116
Pt 0.3197 0.0712 0.3116
Pt 0.3197 0.4288 0.3116
Pt 0.6803 0.5712 0.6884
Pt 0.6803 0.9288 0.6884
Pt 0.8197 0.0712 0.1884
Pt 0.8197 0.4288 0.1884